Theoretical PXRD pattern of PaZn4Cu for a wavelength of 1.5418 Å, from a cell relaxed with GGA-PBE.

Principal peaks in the range 15° ≤ 2θ ≤ 90°, sorted by position:
| d [Å] | I_rel | index |
| --- | --- | --- |
| 3.587 | 20 | 2 0 0 |
| 3.132 | 22 | 1 0 2 |
| 2.697 | 37 | 2 1 0 |
| 2.515 | 100 | 2 1 1 |
| 2.487 | 96 | 1 1 2 |
| 2.321 | 22 | 0 0 3 |
| 2.208 | 32 | 1 0 3 |
| 2.132 | 36 | 2 1 2 |
| 2.046 | 42 | 0 2 0 |
| 1.776 | 20 | 3 1 2 |

Crystal structure
Cell lengths 7.1733, 4.0927, 6.9627 Å; angles 90.00, 90.00, 90.00 degrees
Space group Pmma (No. 51)
Symmetry-distinct sites (fractional):
1 Pa 0.2500 0.0000 0.1196 (multiplicity 2)
2 Zn 0.0000 0.0000 0.5000 (multiplicity 2)
3 Zn 0.0579 0.5000 0.8098 (multiplicity 4)
4 Zn 0.2500 0.5000 0.4433 (multiplicity 2)
5 Cu 0.2500 0.0000 0.7239 (multiplicity 2)